Record 1
Calculated powder diffraction line list of Ti2CrPtAu for Cu Kα (λ = 1.5418 Å), from DFT lattice parameters and positions (PBE).
Kinematic intensities with the Lorentz-polarization factor, no thermal factor.

Structural model:
Cell: 4.7851 4.7851 4.5673 Å, 90.00 90.00 90.00°
Space group P4/mmm (No. 123)
Asymmetric unit:
Ti  0.0000  0.5000  0.0000
Cr  0.0000  0.0000  0.5000
Pt  0.5000  0.5000  0.5000
Au  0.0000  0.0000  0.0000

The 8 most intense peaks (2θ = 5–70°), low angle first:
hkl 1 1 0, 26.34°, I = 57
hkl 1 0 1, 26.99°, I = 100
hkl 2 0 0, 37.59°, I = 55
hkl 0 0 2, 39.46°, I = 24
hkl 2 1 1, 46.89°, I = 47
hkl 1 1 2, 48.07°, I = 23
hkl 2 2 0, 54.22°, I = 19
hkl 2 0 2, 55.64°, I = 35

Record 2
Calculated powder diffraction line list of NaB3SeO7 for Cu Kα (λ = 1.5418 Å), from DFT lattice parameters and positions (PBE).
Kinematic intensities with the Lorentz-polarization factor, no thermal factor.

Structural model:
Cell: 4.5932 16.4302 8.7854 Å, 90.00 98.91 90.00°
Space group P2_1/c (No. 14)
Asymmetric unit:
Na  0.1693  0.1094  0.4401
B  0.0026  0.1844  0.9652
B  0.0030  0.2376  0.7099
B  0.1711  0.5963  0.7608
Se  0.3488  0.5032  0.2843
O  0.0181  0.5207  0.8044
O  0.0450  0.1951  0.1229
O  0.0656  0.2481  0.8698
O  0.0945  0.6112  0.5939
O  0.0991  0.6657  0.8535
O  0.3976  0.5844  0.1799
O  0.4918  0.5807  0.8069

The 8 most intense peaks (2θ = 5–70°), low angle first:
hkl 0 2 0, 10.77°, I = 100
hkl 0 0 2, 20.46°, I = 53
hkl 1 2 0, 22.38°, I = 70
hkl 0 2 2, 23.18°, I = 63
hkl 1 3 -1, 26.34°, I = 62
hkl 0 4 2, 29.95°, I = 35
hkl 2 1 -1, 39.86°, I = 28
hkl 2 1 1, 43.10°, I = 27

Record 3
Calculated powder diffraction line list of K5H4Br for Cu Kα (λ = 1.5418 Å), from DFT lattice parameters and positions (PBE).
Kinematic intensities with the Lorentz-polarization factor, no thermal factor.

Structural model:
Cell: 13.7761 4.1470 10.3765 Å, 90.00 118.93 90.00°
Space group C2/m (No. 12)
Asymmetric unit:
K  0.0000  0.0000  0.0000
K  0.1098  0.5000  0.3740
K  0.2090  0.0000  0.8193
H  0.0996  0.5000  0.9074
H  0.1946  0.0000  0.2830
Br  0.0000  0.0000  0.5000

The 8 most intense peaks (2θ = 5–70°), low angle first:
hkl 0 0 1, 9.74°, I = 32
hkl 1 1 -1, 23.25°, I = 23
hkl 1 1 1, 26.13°, I = 25
hkl 2 0 2, 29.82°, I = 54
hkl 3 1 -2, 30.38°, I = 100
hkl 1 1 -4, 42.77°, I = 31
hkl 5 1 0, 43.39°, I = 50
hkl 0 2 0, 43.65°, I = 18

Record 4
Calculated powder diffraction line list of InTe3 for Cu Kα (λ = 1.5418 Å), from DFT lattice parameters and positions (PBE).
Kinematic intensities with the Lorentz-polarization factor, no thermal factor.

Structural model:
Cell: 4.3387 4.3387 23.1051 Å, 90.00 90.00 120.00°
Space group R-3m (No. 166, hexagonal axes)
Asymmetric unit:
In  0.0000  0.0000  0.0000
Te  0.0000  0.0000  0.2551
Te  0.0000  0.0000  0.5000

The 8 most intense peaks (2θ = 5–70°), low angle first:
hkl 1 0 4, 28.34°, I = 100
hkl 0 1 8, 39.35°, I = 40
hkl 1 1 0, 41.63°, I = 35
hkl 0 0 12, 47.21°, I = 8
hkl 0 2 4, 51.13°, I = 19
hkl 2 0 8, 58.62°, I = 12
hkl 1 1 12, 64.74°, I = 17
hkl 2 1 4, 67.97°, I = 16

Record 5
Calculated powder diffraction line list of KSrSbH for Cu Kα (λ = 1.5418 Å), from DFT lattice parameters and positions (PBE).
Kinematic intensities with the Lorentz-polarization factor, no thermal factor.

Structural model:
Cell: 3.5521 4.7139 7.8384 Å, 90.00 90.00 90.00°
Space group Pmm2 (No. 25)
Asymmetric unit:
K  0.0000  0.0000  0.0000
Sr  0.0000  0.0000  0.4953
Sb  0.5000  0.5000  0.7176
H  0.5000  0.0000  0.2765

The 8 most intense peaks (2θ = 5–70°), low angle first:
hkl 0 0 1, 11.29°, I = 100
hkl 0 1 1, 22.00°, I = 39
hkl 1 0 1, 27.57°, I = 21
hkl 0 1 2, 29.64°, I = 70
hkl 1 1 0, 31.54°, I = 62
hkl 1 1 1, 33.60°, I = 32
hkl 1 0 2, 34.06°, I = 49
hkl 1 2 2, 52.09°, I = 28

Record 6
Calculated powder diffraction line list of La6PmIn2 for Cu Kα (λ = 1.5418 Å), from DFT lattice parameters and positions (PBE).
Kinematic intensities with the Lorentz-polarization factor, no thermal factor.

Structural model:
Cell: 15.7821 4.8018 8.3256 Å, 90.00 109.91 90.00°
Space group C2/m (No. 12)
Asymmetric unit:
La  0.0977  0.0000  0.1455
La  0.1675  0.5000  0.4895
La  0.2228  0.0000  0.8436
Pm  0.0000  0.0000  0.5000
In  0.0583  0.5000  0.8165

The 8 most intense peaks (2θ = 5–70°), low angle first:
hkl 3 1 -2, 30.22°, I = 100
hkl 3 1 1, 30.73°, I = 94
hkl 6 0 -1, 34.10°, I = 36
hkl 0 0 3, 34.37°, I = 34
hkl 0 2 0, 37.46°, I = 29
hkl 6 2 -1, 51.55°, I = 22
hkl 0 2 3, 51.74°, I = 21
hkl 9 1 -3, 58.35°, I = 14